[1]
Structure and computed powder XRD pattern of Ho2UF11 (the GGA-PBE geometry in Alexandria; Cu Kα (weighted mean of Kα1 and Kα2)).
Neutral-atom scattering factors, no anomalous dispersion.

Top 12 peaks for 10° ≤ 2θ ≤ 90°, in order of falling intensity:
- hkl 1 1 2, 21.30°, 4.171 Å, I = 100
- hkl 0 2 2, 23.61°, 3.768 Å, I = 63
- hkl 2 1 1, 25.12°, 3.545 Å, I = 43
- hkl 1 3 4, 43.45°, 2.083 Å, I = 41
- hkl 4 2 0, 48.63°, 1.872 Å, I = 33
- hkl 1 2 1, 22.06°, 4.029 Å, I = 31
- hkl 3 3 2, 46.02°, 1.972 Å, I = 31
- hkl 1 1 0, 13.99°, 6.329 Å, I = 27
- hkl 1 3 0, 28.33°, 3.150 Å, I = 27
- hkl 0 0 4, 32.28°, 2.773 Å, I = 16
- hkl 4 0 2, 48.18°, 1.889 Å, I = 14
- hkl 3 1 4, 48.05°, 1.894 Å, I = 14

a b c (Å): 8.0356 10.2715 11.0933
angles (deg): 90.00 90.00 90.00
Space group Ibam (No. 72)
Asymmetric unit:
Ho (0.1339, 0.1824, 0.0000)
U (0.0000, 0.5000, 0.2500)
F (0.0000, 0.0000, 0.0000)
F (0.0987, 0.3233, 0.1534)
F (0.1278, 0.2261, 0.5000)
F (0.2042, 0.4386, 0.3655)

---

[2]
Structure and computed powder XRD pattern of Li2NiRh (the GGA-PBE geometry in Alexandria; Cu Kα (weighted mean of Kα1 and Kα2)).
Neutral-atom scattering factors, no anomalous dispersion.

Top 12 peaks for 10° ≤ 2θ ≤ 90°, in order of falling intensity:
- hkl 0 0 1, 21.24°, 4.182 Å, I = 100
- hkl 1 1 0, 36.51°, 2.461 Å, I = 24
- hkl 3 1 -1, 46.23°, 1.964 Å, I = 24
- hkl 1 1 1, 45.10°, 2.010 Å, I = 21
- hkl 4 0 -1, 38.37°, 2.346 Å, I = 20
- hkl 4 0 0, 42.93°, 2.107 Å, I = 19
- hkl 0 0 2, 43.27°, 2.091 Å, I = 18
- hkl 1 1 -1, 40.02°, 2.253 Å, I = 18
- hkl 3 1 0, 47.94°, 1.898 Å, I = 15
- hkl 4 0 -2, 45.58°, 1.990 Å, I = 14
- hkl 3 1 -2, 54.71°, 1.678 Å, I = 12
- hkl 2 0 -1, 22.34°, 3.980 Å, I = 9

a b c (Å): 9.4041 2.5736 4.6672
angles (deg): 90.00 116.35 90.00
Space group Cm (No. 8)
Asymmetric unit:
Li (0.0000, 0.0000, 0.0000)
Li (0.2380, 0.0000, 0.9215)
Ni (0.4930, 0.0000, 0.4790)
Rh (0.2564, 0.5000, 0.4417)